Structure and calculated powder X-ray diffraction pattern of Fe10O11 (a crystal structure in Alexandria, relaxed with GGA+U; Cu Kα).
Peak positions follow from Bragg's law for the DFT cell and can differ from measured ones.

Atomic structure:
Unit cell a=5.4004 b=6.7880 c=6.9714 alpha=107.09 beta=105.37 gamma=98.26
Element x y z (fractional)
Fe: 0.0516 0.4103 0.1770
Fe: 0.1446 0.2352 0.5491
Fe: 0.2360 0.0625 0.9111
Fe: 0.3298 0.8686 0.2686
Fe: 0.4132 0.6808 0.6488
Fe: 0.5868 0.3192 0.3512
Fe: 0.6702 0.1314 0.7314
Fe: 0.7640 0.9375 0.0889
Fe: 0.8554 0.7648 0.4509
Fe: 0.9484 0.5897 0.8230
O: 0.0000 0.5000 0.5000
O: 0.0605 0.3205 0.8692
O: 0.1740 0.1527 0.2230
O: 0.2731 0.9728 0.5929
O: 0.3291 0.7795 0.9318
O: 0.4239 0.5910 0.3371
O: 0.5761 0.4090 0.6629
O: 0.6709 0.2205 0.0682
O: 0.7269 0.0272 0.4071
O: 0.8260 0.8473 0.7770
O: 0.9395 0.6795 0.1308

The 6 most intense peaks (2θ = 5–70°), in order of rising 2θ:
- hkl -2 1 1, 2θ = 35.16°, I = 469
- hkl 1 0 -3, 2θ = 40.81°, I = 1000
- hkl 2 1 0, 2θ = 41.58°, I = 938
- hkl 1 -3 1, 2θ = 41.76°, I = 926
- hkl 3 -2 1, 2θ = 59.44°, I = 541
- hkl 1 1 3, 2θ = 59.92°, I = 544


Structure and calculated powder X-ray diffraction pattern of Fe3O2 (a crystal structure in Alexandria, relaxed with GGA+U; Cu Kα).
Peak positions follow from Bragg's law for the DFT cell and can differ from measured ones.

Atomic structure:
Unit cell a=8.7231 b=2.9307 c=9.6387 alpha=90.00 beta=90.00 gamma=90.00
Element x y z (fractional)
Fe: 0.0938 0.2500 0.1113
Fe: 0.1014 0.7500 0.6937
Fe: 0.1745 0.7500 0.4018
Fe: 0.3255 0.2500 0.9018
Fe: 0.3986 0.2500 0.1937
Fe: 0.4062 0.7500 0.6113
Fe: 0.5938 0.2500 0.3887
Fe: 0.6014 0.7500 0.8063
Fe: 0.6745 0.7500 0.0982
Fe: 0.8255 0.2500 0.5982
Fe: 0.8986 0.2500 0.3063
Fe: 0.9062 0.7500 0.8887
O: 0.0874 0.2500 0.8730
O: 0.2289 0.2500 0.5796
O: 0.2711 0.7500 0.0796
O: 0.4126 0.7500 0.3730
O: 0.5874 0.2500 0.6270
O: 0.7289 0.2500 0.9204
O: 0.7711 0.7500 0.4204
O: 0.9126 0.7500 0.1270

The 6 most intense peaks (2θ = 5–70°), in order of rising 2θ:
- hkl 1 1 1, 2θ = 33.57°, I = 994
- hkl 2 0 3, 2θ = 34.68°, I = 1000
- hkl 3 0 2, 2θ = 36.08°, I = 410
- hkl 0 0 4, 2θ = 37.33°, I = 616
- hkl 1 1 3, 2θ = 43.04°, I = 443
- hkl 3 1 1, 2θ = 44.91°, I = 523


Structure and calculated powder X-ray diffraction pattern of Fe23O25 (a crystal structure in Alexandria, relaxed with GGA+U; Cu Kα).
Peak positions follow from Bragg's law for the DFT cell and can differ from measured ones.

Atomic structure:
Unit cell a=6.8111 b=6.8435 c=12.0742 alpha=87.07 beta=73.77 gamma=72.81
Element x y z (fractional)
Fe: 0.0000 0.0000 0.0000
Fe: 0.0385 0.4127 0.8744
Fe: 0.1169 0.1820 0.6396
Fe: 0.1549 0.6061 0.5264
Fe: 0.1971 0.0051 0.3914
Fe: 0.2301 0.4009 0.2774
Fe: 0.2638 0.8139 0.1616
Fe: 0.3090 0.2039 0.0456
Fe: 0.3522 0.5989 0.9171
Fe: 0.3810 0.9912 0.7984
Fe: 0.4350 0.4105 0.6815
Fe: 0.4831 0.8005 0.5615
Fe: 0.5169 0.1995 0.4385
Fe: 0.5650 0.5895 0.3185
Fe: 0.6190 0.0088 0.2016
Fe: 0.6478 0.4011 0.0829
Fe: 0.6910 0.7961 0.9544
Fe: 0.7362 0.1861 0.8384
Fe: 0.7699 0.5991 0.7226
Fe: 0.8029 0.9949 0.6086
Fe: 0.8451 0.3939 0.4736
Fe: 0.8831 0.8180 0.3604
Fe: 0.9615 0.5873 0.1256
O: 0.0121 0.7005 0.9580
O: 0.0643 0.1024 0.8204
O: 0.1178 0.4718 0.6965
O: 0.1581 0.9029 0.5611
O: 0.1847 0.3066 0.4611
O: 0.2376 0.6866 0.3382
O: 0.2916 0.0989 0.2233
O: 0.3125 0.4992 0.0987
O: 0.3495 0.9051 0.9687
O: 0.3949 0.2880 0.8458
O: 0.4264 0.6926 0.7371
O: 0.4547 0.1071 0.6305
O: 0.5000 0.5000 0.5000
O: 0.5453 0.8929 0.3695
O: 0.5736 0.3074 0.2629
O: 0.6051 0.7120 0.1542
O: 0.6505 0.0949 0.0313
O: 0.6875 0.5008 0.9013
O: 0.7084 0.9011 0.7767
O: 0.7624 0.3134 0.6618
O: 0.8153 0.6934 0.5389
O: 0.8419 0.0971 0.4389
O: 0.8822 0.5282 0.3035
O: 0.9357 0.8976 0.1796
O: 0.9879 0.2995 0.0420

The 6 most intense peaks (2θ = 5–70°), in order of rising 2θ:
- hkl -1 1 3, 2θ = 35.47°, I = 465
- hkl 2 1 4, 2θ = 35.78°, I = 868
- hkl 0 1 -5, 2θ = 40.87°, I = 1000
- hkl 1 3 2, 2θ = 41.71°, I = 938
- hkl 3 0 1, 2θ = 41.86°, I = 927
- hkl 1 4 -3, 2θ = 60.10°, I = 532


Structure and calculated powder X-ray diffraction pattern of Fe3O4 (a crystal structure in Alexandria, relaxed with GGA+U; Cu Kα).
Peak positions follow from Bragg's law for the DFT cell and can differ from measured ones.

Atomic structure:
Unit cell a=6.0572 b=6.0587 c=10.5299 alpha=73.32 beta=73.33 gamma=60.28
Element x y z (fractional)
Fe: 0.0000 0.0000 0.0000
Fe: 0.0000 0.0000 0.5000
Fe: 0.0000 0.5000 0.0000
Fe: 0.0648 0.5656 0.3095
Fe: 0.2476 0.7527 0.7496
Fe: 0.4343 0.9355 0.1905
Fe: 0.5000 0.0000 0.5000
Fe: 0.5000 0.5000 0.0000
Fe: 0.5000 0.5000 0.5000
Fe: 0.5657 0.0645 0.8095
Fe: 0.7524 0.2473 0.2504
Fe: 0.9352 0.4344 0.6905
O: 0.1069 0.1361 0.1310
O: 0.1336 0.1070 0.6319
O: 0.1380 0.6257 0.1155
O: 0.1453 0.6197 0.6260
O: 0.3748 0.8620 0.3842
O: 0.3759 0.3914 0.8762
O: 0.3801 0.8546 0.8739
O: 0.3920 0.3774 0.3754
O: 0.6080 0.6226 0.6246
O: 0.6199 0.1454 0.1261
O: 0.6241 0.6086 0.1238
O: 0.6252 0.1380 0.6158
O: 0.8547 0.3803 0.3740
O: 0.8620 0.3743 0.8845
O: 0.8664 0.8930 0.3681
O: 0.8931 0.8639 0.8690

The 6 most intense peaks (2θ = 5–70°), in order of rising 2θ:
- hkl 1 1 -2, 2θ = 29.39°, I = 318
- hkl 1 -1 2, 2θ = 34.60°, I = 1000
- hkl 2 2 2, 2θ = 34.71°, I = 729
- hkl 3 0 -1, 2θ = 55.55°, I = 319
- hkl 2 0 6, 2θ = 60.94°, I = 397
- hkl 4 2 2, 2θ = 61.20°, I = 260


Structure and calculated powder X-ray diffraction pattern of Fe17O18 (a crystal structure in Alexandria, relaxed with GGA+U; Cu Kα).
Peak positions follow from Bragg's law for the DFT cell and can differ from measured ones.

Atomic structure:
Unit cell a=6.9199 b=8.1314 c=8.2220 alpha=110.64 beta=95.47 gamma=114.56
Element x y z (fractional)
Fe: 0.0000 0.0000 0.0000
Fe: 0.0186 0.3379 0.3381
Fe: 0.1698 0.7269 0.0563
Fe: 0.1719 0.3918 0.7171
Fe: 0.1773 0.0631 0.3957
Fe: 0.3297 0.1048 0.7856
Fe: 0.3352 0.4460 0.1161
Fe: 0.3384 0.7739 0.4488
Fe: 0.4999 0.1770 0.1758
Fe: 0.5001 0.8230 0.8242
Fe: 0.6616 0.2261 0.5512
Fe: 0.6648 0.5540 0.8839
Fe: 0.6703 0.8952 0.2144
Fe: 0.8227 0.9369 0.6043
Fe: 0.8281 0.6082 0.2829
Fe: 0.8302 0.2731 0.9437
Fe: 0.9814 0.6621 0.6619
O: 0.0691 0.8535 0.5111
O: 0.0871 0.5444 0.2048
O: 0.0903 0.2155 0.8672
O: 0.2264 0.5795 0.5985
O: 0.2295 0.2260 0.2369
O: 0.2574 0.9165 0.9144
O: 0.3986 0.6278 0.9583
O: 0.4047 0.3015 0.6643
O: 0.4266 0.9835 0.3137
O: 0.5734 0.0165 0.6863
O: 0.5953 0.6985 0.3357
O: 0.6014 0.3722 0.0417
O: 0.7426 0.0835 0.0856
O: 0.7705 0.7740 0.7631
O: 0.7736 0.4205 0.4015
O: 0.9097 0.7845 0.1328
O: 0.9129 0.4556 0.7952
O: 0.9309 0.1465 0.4889

The 6 most intense peaks (2θ = 5–70°), in order of rising 2θ:
- hkl 1 0 -3, 2θ = 35.28°, I = 245
- hkl 2 1 -1, 2θ = 35.40°, I = 240
- hkl 1 -3 0, 2θ = 35.70°, I = 467
- hkl -3 2 1, 2θ = 41.21°, I = 1000
- hkl 0 3 -3, 2θ = 41.31°, I = 496
- hkl 4 -1 1, 2θ = 59.73°, I = 281


Structure and calculated powder X-ray diffraction pattern of FeOs2O6 (a crystal structure in Alexandria, relaxed with GGA+U; Cu Kα).
Peak positions follow from Bragg's law for the DFT cell and can differ from measured ones.

Atomic structure:
Unit cell a=8.6593 b=8.6593 c=4.4390 alpha=90.00 beta=90.00 gamma=120.00
Element x y z (fractional)
Fe: 0.0000 0.0000 0.0000
Fe: 0.3333 0.6667 0.4969
Fe: 0.6667 0.3333 0.5031
Os: 0.0000 0.3428 0.0000
Os: 0.0000 0.6756 0.5000
Os: 0.3244 0.3244 0.5000
Os: 0.3428 0.0000 0.0000
Os: 0.6572 0.6572 0.0000
Os: 0.6756 0.0000 0.5000
O: 0.1058 0.5591 0.2515
O: 0.1124 0.2282 0.2391
O: 0.1158 0.8876 0.2391
O: 0.2121 0.4383 0.7407
O: 0.2263 0.7879 0.7407
O: 0.2282 0.1124 0.7609
O: 0.4383 0.2121 0.2593
O: 0.4409 0.5466 0.2515
O: 0.4534 0.8942 0.2515
O: 0.5466 0.4409 0.7485
O: 0.5591 0.1058 0.7485
O: 0.5617 0.7737 0.7407
O: 0.7718 0.8842 0.2391
O: 0.7737 0.5617 0.2593
O: 0.7879 0.2263 0.2593
O: 0.8842 0.7718 0.7609
O: 0.8876 0.1158 0.7609
O: 0.8942 0.4534 0.7485

The 6 most intense peaks (2θ = 5–70°), in order of rising 2θ:
- hkl 1 1 0, 2θ = 20.51°, I = 180
- hkl 1 1 1, 2θ = 28.80°, I = 1000
- hkl 3 0 0, 2θ = 35.93°, I = 388
- hkl 2 2 1, 2θ = 46.68°, I = 266
- hkl 3 0 2, 2θ = 55.36°, I = 344
- hkl 1 4 1, 2θ = 60.28°, I = 246